1.
Calculated X-ray powder pattern of BeNbF for Cu Kα (weighted mean of Kα1 and Kα2), from a DFT-relaxed cell (GGA-PBE, OQMD).

Structural model:
a = 2.7756 Å, b = 11.2315 Å, c = 4.5082 Å
α = 90.00°, β = 90.00°, γ = 90.00°
Space group Cmc2_1 (No. 36)
Symmetry-distinct sites (fractional):
Be 0.0000 0.0904 0.0000 (multiplicity 4)
Nb 0.0000 0.4082 0.0304 (multiplicity 4)
F 0.0000 0.2071 0.2105 (multiplicity 4)

Main lines, in order of falling intensity (10 to 90 degrees two-theta):
hkl 0 2 1, 25.3°, I 1000; hkl 1 3 1, 45.4°, I 610; hkl 1 1 1, 38.9°, I 446; hkl 1 1 0, 33.2°, I 394; hkl 0 4 1, 37.7°, I 326; hkl 1 1 2, 53.0°, I 293; hkl 1 5 0, 52.4°, I 236; hkl 0 0 2, 40.0°, I 195; hkl 1 3 3, 76.4°, I 164; hkl 0 4 0, 31.9°, I 158; hkl 0 2 0, 15.8°, I 153; hkl 0 6 0, 48.6°, I 124

2.
Calculated X-ray powder pattern of Pr2Sm2Se3O4 for Cu Kα (weighted mean of Kα1 and Kα2), from a DFT-relaxed cell (GGA-PBE, OQMD).

Structural model:
a = 8.4157 Å, b = 4.0035 Å, c = 12.9282 Å
α = 90.00°, β = 90.00°, γ = 90.00°
Space group Amm2 (No. 38)
Symmetry-distinct sites (fractional):
Pr 0.0000 0.0000 0.0000 (multiplicity 2)
Pr 0.5000 0.0000 0.0169 (multiplicity 2)
Sm 0.2374 0.0000 0.6832 (multiplicity 4)
Se 0.0000 0.0000 0.3118 (multiplicity 2)
Se 0.3490 0.0000 0.3548 (multiplicity 4)
O 0.0000 0.0000 0.5912 (multiplicity 2)
O 0.2437 0.0000 0.0910 (multiplicity 4)
O 0.5000 0.0000 0.6188 (multiplicity 2)

Main lines, in order of falling intensity (10 to 90 degrees two-theta):
hkl 0 1 3, 30.5°, I 1000; hkl 2 1 1, 31.6°, I 553; hkl 2 0 2, 25.3°, I 545; hkl 2 0 4, 35.0°, I 292; hkl 0 2 0, 45.3°, I 271; hkl 2 1 5, 47.1°, I 227; hkl 2 2 4, 58.5°, I 174; hkl 4 1 3, 53.6°, I 171; hkl 2 1 7, 59.3°, I 151; hkl 2 2 2, 52.6°, I 148; hkl 0 0 6, 41.9°, I 147; hkl 4 0 0, 43.0°, I 111

3.
Calculated X-ray powder pattern of Cu2IBr3 for Cu Kα (weighted mean of Kα1 and Kα2), from a DFT-relaxed cell (GGA-PBE, OQMD).

Structural model:
a = 7.0257 Å, b = 3.5700 Å, c = 7.5421 Å
α = 90.00°, β = 116.66°, γ = 90.00°
Space group Pm (No. 6)
Symmetry-distinct sites (fractional):
Cu 0.0000 0.0000 0.0000 (multiplicity 1)
Cu 0.4884 0.5000 0.4996 (multiplicity 1)
I 0.7502 0.0000 0.4923 (multiplicity 1)
Br 0.2379 0.5000 0.0009 (multiplicity 1)
Br 0.2587 0.0000 0.5062 (multiplicity 1)
Br 0.7642 0.5000 0.0036 (multiplicity 1)

Main lines, in order of falling intensity (10 to 90 degrees two-theta):
hkl 0 0 2, 26.4°, I 1000; hkl 2 1 -1, 35.9°, I 907; hkl 2 1 1, 44.8°, I 459; hkl 2 1 -3, 45.4°, I 441; hkl 1 0 -1, 14.3°, I 368; hkl 0 1 1, 28.3°, I 350; hkl 0 2 2, 58.5°, I 208; hkl 2 0 -2, 28.9°, I 180; hkl 2 0 0, 28.4°, I 171; hkl 0 2 0, 51.2°, I 166; hkl 1 0 1, 23.3°, I 155; hkl 4 0 -2, 52.1°, I 141

4.
Calculated X-ray powder pattern of HfH for Cu Kα (weighted mean of Kα1 and Kα2), from a DFT-relaxed cell (GGA-PBE, OQMD).

Structural model:
a = 4.6493 Å, b = 4.6493 Å, c = 4.6493 Å
α = 90.00°, β = 90.00°, γ = 90.00°
Space group F-43m (No. 216)
Symmetry-distinct sites (fractional):
Hf 0.0000 0.0000 0.0000 (multiplicity 4)
H 0.2500 0.2500 0.2500 (multiplicity 4)

Main lines, in order of falling intensity (10 to 90 degrees two-theta):
hkl 1 1 1, 33.4°, I 1000; hkl 2 0 0, 38.7°, I 495; hkl 3 1 1, 66.7°, I 412; hkl 2 2 0, 55.9°, I 353; hkl 2 2 2, 70.1°, I 118; hkl 4 0 0, 83.1°, I 57

5.
Calculated X-ray powder pattern of SmNiBPt3 for Cu Kα (weighted mean of Kα1 and Kα2), from a DFT-relaxed cell (GGA-PBE, OQMD).

Structural model:
a = 5.4421 Å, b = 5.4421 Å, c = 7.3594 Å
α = 90.00°, β = 90.00°, γ = 120.00°
Space group P6/mmm (No. 191)
Symmetry-distinct sites (fractional):
Sm 0.0000 0.0000 0.0000 (multiplicity 1)
Sm 0.0000 0.0000 0.5000 (multiplicity 1)
Ni 0.3333 0.6667 0.0000 (multiplicity 2)
B 0.3333 0.6667 0.5000 (multiplicity 2)
Pt 0.0000 0.5000 0.2881 (multiplicity 6)

Main lines, in order of falling intensity (10 to 90 degrees two-theta):
hkl 2 0 0, 38.2°, I 1000; hkl 1 0 2, 30.8°, I 597; hkl 1 1 2, 41.3°, I 524; hkl 2 0 2, 45.7°, I 404; hkl 2 2 0, 69.0°, I 237; hkl 2 1 2, 57.5°, I 212; hkl 2 0 3, 54.0°, I 194; hkl 2 0 4, 64.2°, I 187; hkl 0 0 2, 24.2°, I 183; hkl 2 0 5, 76.3°, I 182; hkl 0 0 3, 36.6°, I 149; hkl 3 0 2, 64.5°, I 138

6.
Calculated X-ray powder pattern of ZrCuReAs for Cu Kα (weighted mean of Kα1 and Kα2), from a DFT-relaxed cell (GGA-PBE, OQMD).

Structural model:
a = 6.3680 Å, b = 6.3680 Å, c = 6.3680 Å
α = 90.00°, β = 90.00°, γ = 90.00°
Space group F-43m (No. 216)
Symmetry-distinct sites (fractional):
Zr 0.0000 0.0000 0.0000 (multiplicity 4)
Cu 0.2500 0.2500 0.7500 (multiplicity 4)
Re 0.2500 0.2500 0.2500 (multiplicity 4)
As 0.0000 0.0000 0.5000 (multiplicity 4)

Main lines, in order of falling intensity (10 to 90 degrees two-theta):
hkl 2 2 0, 40.0°, I 1000; hkl 4 2 2, 72.8°, I 334; hkl 1 1 1, 24.2°, I 181; hkl 4 0 0, 57.9°, I 167; hkl 4 4 0, 86.4°, I 108; hkl 3 1 1, 47.3°, I 95; hkl 2 0 0, 28.0°, I 47; hkl 3 3 1, 63.7°, I 42; hkl 5 1 1, 78.0°, I 32; hkl 4 2 0, 65.6°, I 18; hkl 2 2 2, 49.6°, I 14

7.
Calculated X-ray powder pattern of In8Fe2Se for Cu Kα (weighted mean of Kα1 and Kα2), from a DFT-relaxed cell (GGA-PBE, OQMD).

Structural model:
a = 10.0038 Å, b = 10.0038 Å, c = 10.0142 Å
α = 90.00°, β = 90.00°, γ = 90.00°
Space group P4_2/mnm (No. 136)
Symmetry-distinct sites (fractional):
In 0.0000 0.0000 0.1792 (multiplicity 4)
In 0.0562 0.2948 0.2906 (multiplicity 16)
In 0.1006 0.8994 0.5000 (multiplicity 4)
In 0.1873 0.8127 0.0000 (multiplicity 4)
In 0.1988 0.1988 0.0000 (multiplicity 4)
Fe 0.1834 0.8166 0.2603 (multiplicity 8)
Se 0.0000 0.5000 0.0000 (multiplicity 4)

Main lines, in order of falling intensity (10 to 90 degrees two-theta):
hkl 2 1 3, 33.5°, I 1000; hkl 4 1 2, 41.3°, I 342; hkl 2 2 2, 31.0°, I 280; hkl 5 0 5, 66.0°, I 263; hkl 0 0 4, 35.9°, I 261; hkl 5 0 1, 46.3°, I 211; hkl 3 3 0, 38.2°, I 205; hkl 4 1 0, 37.1°, I 182; hkl 7 1 2, 69.0°, I 177; hkl 3 2 0, 32.3°, I 171; hkl 5 2 3, 56.7°, I 152; hkl 5 3 0, 53.4°, I 152

8.
Calculated X-ray powder pattern of Sm2In3Co9 for Cu Kα (weighted mean of Kα1 and Kα2), from a DFT-relaxed cell (GGA-PBE, OQMD).

Structural model:
a = 4.9450 Å, b = 22.5657 Å, c = 4.0537 Å
α = 90.00°, β = 90.00°, γ = 90.00°
Space group Cmmm (No. 65)
Symmetry-distinct sites (fractional):
Sm 0.0000 0.1792 0.0000 (multiplicity 4)
In 0.0000 0.2987 0.5000 (multiplicity 4)
In 0.0000 0.5000 0.0000 (multiplicity 2)
Co 0.0000 0.0000 0.5000 (multiplicity 2)
Co 0.0000 0.0563 0.0000 (multiplicity 4)
Co 0.0000 0.3854 0.0000 (multiplicity 4)
Co 0.2477 0.4089 0.5000 (multiplicity 8)

Main lines, in order of falling intensity (10 to 90 degrees two-theta):
hkl 1 3 1, 30.9°, I 1000; hkl 1 7 1, 40.1°, I 485; hkl 0 0 2, 44.7°, I 469; hkl 1 5 1, 34.8°, I 370; hkl 1 9 1, 46.4°, I 363; hkl 1 9 0, 40.3°, I 333; hkl 2 0 0, 36.3°, I 297; hkl 2 0 1, 42.8°, I 277; hkl 2 6 0, 43.8°, I 273; hkl 0 6 1, 32.5°, I 236; hkl 2 6 2, 64.4°, I 232; hkl 0 10 0, 40.0°, I 195

9.
Calculated X-ray powder pattern of DyAgTeSe for Cu Kα (weighted mean of Kα1 and Kα2), from a DFT-relaxed cell (GGA-PBE, OQMD).

Structural model:
a = 4.4799 Å, b = 6.9410 Å, c = 6.9357 Å
α = 90.00°, β = 90.89°, γ = 90.00°
Space group P2_1 (No. 4)
Symmetry-distinct sites (fractional):
Dy 0.1957 0.0000 0.2756 (multiplicity 2)
Ag 0.0025 0.4888 0.2471 (multiplicity 2)
Te 0.3018 0.2888 0.9503 (multiplicity 2)
Se 0.2828 0.6967 0.5469 (multiplicity 2)

Main lines, in order of falling intensity (10 to 90 degrees two-theta):
hkl 0 2 2, 36.6°, I 1000; hkl 1 1 1, 27.1°, I 629; hkl 1 1 -1, 26.8°, I 398; hkl 1 2 0, 32.6°, I 381; hkl 0 1 2, 28.8°, I 355; hkl 1 0 -2, 32.4°, I 340; hkl 1 2 -1, 35.1°, I 325; hkl 1 3 0, 44.1°, I 321; hkl 1 1 2, 35.4°, I 320; hkl 2 1 1, 44.7°, I 255; hkl 2 1 -1, 44.3°, I 253; hkl 1 2 1, 35.3°, I 238

10.
Calculated X-ray powder pattern of LiSmP4O12 for Cu Kα (weighted mean of Kα1 and Kα2), from a DFT-relaxed cell (GGA-PBE, OQMD).

Structural model:
a = 16.2507 Å, b = 6.9910 Å, c = 9.5810 Å
α = 90.00°, β = 125.88°, γ = 90.00°
Space group C2/c (No. 15)
Symmetry-distinct sites (fractional):
Li 0.0000 0.2028 0.2500 (multiplicity 4)
Sm 0.0000 0.2970 0.7500 (multiplicity 4)
P 0.1379 0.0562 0.1625 (multiplicity 8)
P 0.1487 0.3468 0.5965 (multiplicity 8)
O 0.0630 0.0022 0.2002 (multiplicity 8)
O 0.0707 0.4090 0.4145 (multiplicity 8)
O 0.1160 0.2247 0.0499 (multiplicity 8)
O 0.1325 0.3875 0.7319 (multiplicity 8)
O 0.1600 0.1198 0.5822 (multiplicity 8)
O 0.2436 0.0801 0.3498 (multiplicity 8)

Main lines, in order of falling intensity (10 to 90 degrees two-theta):
hkl 1 1 1, 20.7°, I 1000; hkl 4 0 -2, 23.0°, I 729; hkl 1 1 -1, 15.7°, I 431; hkl 2 0 0, 13.4°, I 411; hkl 0 2 1, 28.0°, I 351; hkl 2 0 2, 32.9°, I 310; hkl 5 1 -1, 31.5°, I 262; hkl 3 1 -3, 30.8°, I 251; hkl 3 1 -2, 23.5°, I 236; hkl 6 0 -2, 33.1°, I 223; hkl 2 2 -4, 48.1°, I 199; hkl 4 2 -2, 34.6°, I 197

11.
Calculated X-ray powder pattern of Er2Se2O7 for Cu Kα (weighted mean of Kα1 and Kα2), from a DFT-relaxed cell (GGA-PBE, OQMD).

Structural model:
a = 10.4642 Å, b = 10.4642 Å, c = 5.1608 Å
α = 90.00°, β = 90.00°, γ = 90.00°
Space group P4_2/ncm (No. 138, origin choice 2)
Symmetry-distinct sites (fractional):
Er 0.1284 0.6284 0.0000 (multiplicity 8)
Se 0.1294 0.1294 0.0364 (multiplicity 8)
O 0.0040 0.6818 0.6313 (multiplicity 16)
O 0.0643 0.0643 0.3153 (multiplicity 8)
O 0.2500 0.7500 0.2500 (multiplicity 4)

Main lines, in order of falling intensity (10 to 90 degrees two-theta):
hkl 2 2 1, 29.7°, I 1000; hkl 6 2 1, 58.6°, I 308; hkl 4 0 0, 34.3°, I 298; hkl 4 0 2, 49.6°, I 252; hkl 1 1 0, 12.0°, I 186; hkl 2 2 3, 59.2°, I 137; hkl 0 0 2, 34.8°, I 134; hkl 4 4 0, 49.3°, I 131; hkl 4 4 2, 61.7°, I 115; hkl 6 2 3, 80.6°, I 99; hkl 8 4 0, 82.4°, I 59; hkl 1 1 1, 21.0°, I 58

12.
Calculated X-ray powder pattern of Sc2Zn2Sn3 for Cu Kα (weighted mean of Kα1 and Kα2), from a DFT-relaxed cell (GGA-PBE, OQMD).

Structural model:
a = 4.6817 Å, b = 4.6817 Å, c = 25.8926 Å
α = 90.00°, β = 90.00°, γ = 120.00°
Space group R3m (No. 160, hexagonal axes)
Symmetry-distinct sites (fractional):
Sc 0.0000 0.0000 0.0000 (multiplicity 3)
Sc 0.0000 0.0000 0.4901 (multiplicity 3)
Zn 0.0000 0.0000 0.2143 (multiplicity 3)
Zn 0.0000 0.0000 0.7519 (multiplicity 3)
Sn 0.0000 0.0000 0.3804 (multiplicity 3)
Sn 0.0000 0.0000 0.6134 (multiplicity 3)
Sn 0.0000 0.0000 0.8678 (multiplicity 3)

Main lines, in order of falling intensity (10 to 90 degrees two-theta):
hkl 1 1 0, 38.5°, I 1000; hkl 0 1 8, 35.5°, I 869; hkl 0 1 5, 27.9°, I 326; hkl 2 0 8, 53.3°, I 269; hkl 1 2 8, 67.6°, I 264; hkl 1 0 4, 25.9°, I 175; hkl 3 0 0, 69.6°, I 173; hkl 1 0 1, 22.2°, I 158; hkl 0 0 6, 20.6°, I 145; hkl 1 1 6, 44.0°, I 126; hkl 1 0 7, 32.8°, I 125; hkl 2 2 0, 82.4°, I 111